[1]
Simulated powder XRD pattern
Compound: MgSb2P2H2O10
Radiation: Cu Kα, 1.54184 Å
Structure: DFT lattice parameters and positions (GGA-PBE)
Lines closer than 0.1° are merged.

Atomic structure:
```
data_MgSb2P2H2O10
_cell_length_a 5.5409
_cell_length_b 5.8507
_cell_length_c 7.9368
_cell_angle_alpha 103.38
_cell_angle_beta 103.58
_cell_angle_gamma 97.65
_space_group_name_H-M_alt 'P 1'
_space_group_IT_number 1
loop_
_space_group_symop_operation_xyz
'x,y,z'
loop_
_atom_site_label
_atom_site_type_symbol
_atom_site_fract_x
_atom_site_fract_y
_atom_site_fract_z
Mg1 Mg 0.0000 0.0000 0.0000
Sb1 Sb 0.3945 0.5254 0.0626
Sb2 Sb 0.8167 0.0080 0.5566
P1 P 0.2781 0.1544 0.3522
P2 P 0.4452 0.9486 0.8309
H1 H 0.7927 0.3023 0.8474
H2 H 0.8657 0.6929 0.2335
O1 O 0.1392 0.2362 0.4934
O2 O 0.1593 0.8946 0.2292
O3 O 0.1758 0.8474 0.8305
O4 O 0.2296 0.3013 0.2024
O5 O 0.4784 0.8920 0.6396
O6 O 0.5123 0.2322 0.9163
O7 O 0.5717 0.1968 0.4318
O8 O 0.6411 0.8443 0.9537
O9 O 0.7141 0.6156 0.2605
O10 O 0.9374 0.2324 0.8209
```

Most intense lines, 5° ≤ 2θ ≤ 70°, sorted by position:
- d = 5.579 Å, 2θ 15.89, I 42, hkl 0 1 0
- d = 5.191 Å, 2θ 17.08, I 77, hkl 0 1 -1
- d = 5.002 Å, 2θ 17.73, I 64, hkl 1 0 -1
- d = 4.281 Å, 2θ 20.75, I 70, hkl 1 -1 0
- d = 3.970 Å, 2θ 22.39, I 100, hkl 0 1 1
- d = 3.832 Å, 2θ 23.21, I 65, hkl 1 0 1
- d = 3.168 Å, 2θ 28.16, I 64, hkl 1 1 -2
- d = 2.824 Å, 2θ 31.68, I 43, hkl -1 1 2
- d = 2.786 Å, 2θ 32.13, I 66, hkl 1 -1 2
- d = 2.641 Å, 2θ 33.95, I 44, hkl 1 -2 1

[2]
Simulated powder XRD pattern
Compound: MgTlPH12O10
Radiation: Cu Kα, 1.54184 Å
Structure: DFT lattice parameters and positions (GGA-PBE)
Lines closer than 0.1° are merged.

Atomic structure:
```
data_MgTlPH12O10
_cell_length_a 6.9091
_cell_length_b 6.1428
_cell_length_c 11.3662
_cell_angle_alpha 90.00
_cell_angle_beta 90.00
_cell_angle_gamma 90.00
_space_group_name_H-M_alt 'P m n 21'
_space_group_IT_number 31
loop_
_space_group_symop_operation_xyz
'x,y,z'
'-x+1/2,-y,z+1/2'
'-x,y,z'
'x+1/2,-y,z+1/2'
loop_
_atom_site_label
_atom_site_type_symbol
_atom_site_fract_x
_atom_site_fract_y
_atom_site_fract_z
Mg1 Mg 0.0000 0.1168 0.0000
Tl1 Tl 0.0000 0.1283 0.6451
P1 P 0.0000 0.5138 0.3657
H1 H 0.0000 0.6683 0.0356
H2 H 0.0000 0.7722 0.1669
H3 H 0.1178 0.4932 0.8773
H4 H 0.1758 0.6731 0.5669
H5 H 0.1765 0.8960 0.3553
H6 H 0.2048 0.3003 0.1883
H7 H 0.2494 0.1439 0.3667
O1 O 0.0000 0.4344 0.9192
O2 O 0.0000 0.5337 0.5018
O3 O 0.0000 0.7464 0.3093
O4 O 0.0000 0.8065 0.0798
O5 O 0.1855 0.3920 0.3235
O6 O 0.2112 0.0109 0.8818
O7 O 0.2268 0.2316 0.1088
```

Most intense lines, 5° ≤ 2θ ≤ 70°, sorted by position:
- d = 5.904 Å, 2θ 15.01, I 100, hkl 1 0 1
- d = 5.404 Å, 2θ 16.40, I 46, hkl 0 1 1
- d = 4.591 Å, 2θ 19.33, I 51, hkl 1 1 0
- d = 4.257 Å, 2θ 20.87, I 86, hkl 1 1 1
- d = 4.172 Å, 2θ 21.30, I 65, hkl 0 1 2
- d = 3.571 Å, 2θ 24.93, I 51, hkl 1 1 2
- d = 3.322 Å, 2θ 26.84, I 79, hkl 1 0 3
- d = 2.911 Å, 2θ 30.72, I 73, hkl 2 1 1
- d = 2.661 Å, 2θ 33.69, I 58, hkl 2 1 2
- d = 2.516 Å, 2θ 35.68, I 49, hkl 1 2 2

[3]
Simulated powder XRD pattern
Compound: MgZrP2H8O12
Radiation: Cu Kα, 1.54184 Å
Structure: DFT lattice parameters and positions (GGA-PBE)
Lines closer than 0.1° are merged.

Atomic structure:
```
data_MgZrP2H8O12
_cell_length_a 5.3597
_cell_length_b 9.5193
_cell_length_c 9.7130
_cell_angle_alpha 97.10
_cell_angle_beta 91.61
_cell_angle_gamma 90.42
_space_group_name_H-M_alt 'P -1'
_space_group_IT_number 2
loop_
_space_group_symop_operation_xyz
'x,y,z'
'-x,-y,-z'
loop_
_atom_site_label
_atom_site_type_symbol
_atom_site_fract_x
_atom_site_fract_y
_atom_site_fract_z
Mg1 Mg 0.0000 0.0000 0.0000
Mg2 Mg 0.5000 0.5000 0.0000
Zr1 Zr 0.2464 0.7517 0.5099
P1 P 0.2356 0.0499 0.3187
P2 P 0.2681 0.4387 0.6784
H1 H 0.0582 0.5927 0.1250
H2 H 0.0898 0.7789 0.8258
H3 H 0.1720 0.7366 0.9761
H4 H 0.2251 0.1410 0.8002
H5 H 0.2965 0.6754 0.1941
H6 H 0.3584 0.2414 0.0577
H7 H 0.4047 0.3371 0.2006
H8 H 0.4336 0.0516 0.8666
O1 O 0.0168 0.1547 0.3497
O2 O 0.0296 0.3731 0.6029
O3 O 0.1560 0.8152 0.9186
O4 O 0.1834 0.9109 0.3814
O5 O 0.2273 0.6308 0.1041
O6 O 0.2403 0.4450 0.8368
O7 O 0.2652 0.0161 0.1610
O8 O 0.2743 0.1039 0.8861
O9 O 0.3132 0.5907 0.6396
O10 O 0.3525 0.3392 0.1033
O11 O 0.4774 0.1222 0.3841
O12 O 0.4953 0.3443 0.6341
```

Most intense lines, 5° ≤ 2θ ≤ 70°, sorted by position:
- d = 9.634 Å, 2θ 9.18, I 100, hkl 0 0 1
- d = 4.638 Å, 2θ 19.13, I 41, hkl 1 1 0
- d = 4.465 Å, 2θ 19.89, I 72, hkl 0 2 -1
- d = 4.153 Å, 2θ 21.40, I 81, hkl -1 1 1
- d = 4.045 Å, 2θ 21.97, I 47, hkl 1 1 1
- d = 3.603 Å, 2θ 24.71, I 48, hkl 0 2 -2
- d = 3.299 Å, 2θ 27.03, I 42, hkl -1 1 2
- d = 3.206 Å, 2θ 27.83, I 54, hkl 1 1 2
- d = 2.690 Å, 2θ 33.30, I 47, hkl 1 -3 1
- d = 2.024 Å, 2θ 44.79, I 25, hkl 2 2 2